No. 1
Starting from a cell relaxed with GGA-PBE, the powder diffraction line list of Sc2Se3O9 was simulated for Cu Kα (weighted mean of Kα1 and Kα2).

The 6 most intense peaks (2θ from 5° to 70°), sorted by position:
2θ 24.18, intensity 100.0; 2θ 24.62, intensity 16.3; 2θ 27.19, intensity 20.5; 2θ 31.39, intensity 32.6; 2θ 40.89, intensity 15.2; 2θ 51.22, intensity 17.4

Crystal structure
a b c (Å): 8.350 8.350 7.801
angles (deg): 90.00 90.00 120.00
Sites, in units of the cell vectors:
Sc 0.333 0.667 0.046
Sc 0.333 0.667 0.454
Sc 0.667 0.333 0.546
Sc 0.667 0.333 0.954
Se 0.034 0.727 0.750
Se 0.273 0.307 0.750
Se 0.307 0.034 0.250
Se 0.693 0.966 0.750
Se 0.727 0.693 0.250
Se 0.966 0.273 0.250
O 0.130 0.510 0.250
O 0.167 0.744 0.578
O 0.167 0.744 0.922
O 0.256 0.423 0.578
O 0.256 0.423 0.922
O 0.380 0.870 0.250
O 0.423 0.167 0.078
O 0.423 0.167 0.422
O 0.490 0.620 0.250
O 0.510 0.380 0.750
O 0.577 0.833 0.578
O 0.577 0.833 0.922
O 0.620 0.130 0.750
O 0.744 0.577 0.078
O 0.744 0.577 0.422
O 0.833 0.256 0.078
O 0.833 0.256 0.422
O 0.870 0.490 0.750



No. 2
Starting from a cell relaxed with GGA-PBE, the powder diffraction line list of ScSe2O10 was simulated for Cu Kα (weighted mean of Kα1 and Kα2).

The 6 most intense peaks (2θ from 5° to 70°), sorted by position:
2θ 10.33, intensity 90.6; 2θ 19.08, intensity 27.6; 2θ 20.25, intensity 51.3; 2θ 21.64, intensity 37.9; 2θ 24.95, intensity 100.0; 2θ 27.34, intensity 45.9

Crystal structure
a b c (Å): 5.326 5.350 8.896
angles (deg): 81.07 74.49 63.65
Sites, in units of the cell vectors:
Sc 0.000 0.000 0.000
Se 0.428 0.373 0.806
Se 0.572 0.627 0.194
O 0.194 0.021 0.494
O 0.238 0.746 0.166
O 0.245 0.231 0.946
O 0.274 0.720 0.819
O 0.432 0.299 0.629
O 0.568 0.701 0.371
O 0.726 0.280 0.181
O 0.755 0.769 0.054
O 0.762 0.254 0.834
O 0.806 0.979 0.506



No. 3
Starting from a cell relaxed with GGA-PBE, the powder diffraction line list of ScSe3O9 was simulated for Cu Kα (weighted mean of Kα1 and Kα2).

The 6 most intense peaks (2θ from 5° to 70°), sorted by position:
2θ 21.61, intensity 72.1; 2θ 24.52, intensity 100.0; 2θ 25.50, intensity 31.0; 2θ 25.95, intensity 47.1; 2θ 27.08, intensity 45.9; 2θ 28.54, intensity 32.4

Crystal structure
a b c (Å): 7.673 7.673 7.733
angles (deg): 96.20 96.20 78.91
Sites, in units of the cell vectors:
Sc 0.247 0.753 0.500
Sc 0.753 0.247 0.000
Se 0.070 0.840 0.908
Se 0.185 0.369 0.206
Se 0.369 0.185 0.706
Se 0.573 0.691 0.171
Se 0.691 0.573 0.671
Se 0.840 0.070 0.408
O 0.000 0.703 0.027
O 0.023 0.910 0.373
O 0.094 0.734 0.705
O 0.155 0.524 0.381
O 0.192 0.328 0.772
O 0.309 0.984 0.648
O 0.328 0.192 0.272
O 0.391 0.757 0.284
O 0.467 0.590 0.629
O 0.524 0.155 0.881
O 0.528 0.781 0.980
O 0.590 0.467 0.129
O 0.703 0.000 0.527
O 0.734 0.094 0.205
O 0.757 0.391 0.784
O 0.781 0.528 0.480
O 0.910 0.023 0.873
O 0.984 0.309 0.148



No. 4
Starting from a cell relaxed with GGA-PBE, the powder diffraction line list of ScSiO3 was simulated for Cu Kα (weighted mean of Kα1 and Kα2).

The 4 most intense peaks (2θ from 5° to 70°), sorted by position:
2θ 35.44, intensity 100.0; 2θ 43.77, intensity 43.9; 2θ 50.98, intensity 71.0; 2θ 63.62, intensity 35.6

Crystal structure
a b c (Å): 3.582 3.582 3.582
angles (deg): 90.00 90.00 90.00
Sites, in units of the cell vectors:
Sc 0.000 0.000 0.000
Si 0.500 0.500 0.500
O 0.000 0.500 0.500
O 0.500 0.000 0.500
O 0.500 0.500 0.000